(1)
# YSc3Ni2
Computed PXRD pattern, Cu Kα X-rays. Input: a DFT-relaxed cell (PBE, Alexandria).
Neutral-atom scattering factors, no anomalous dispersion.

Cell and atoms:
Cell lengths 14.490, 4.722, 7.728 Å; angles 90.00, 113.83, 90.00 degrees
Space group C2/m (No. 12)
Asymmetric unit:
Y  0.135  0.000  0.215
Sc  0.068  0.000  0.731
Sc  0.125  0.500  0.510
Sc  0.187  0.500  0.987
Ni  0.000  0.500  0.155
Ni  0.222  0.000  0.627

Main lines, low angle first (2θ from 10° to 90°):
2θ 14.15, I 30, (2 0 -1)
2θ 31.55, I 24, (3 1 -2)
2θ 34.48, I 62, (1 1 2)
2θ 34.88, I 23, (2 0 -3)
2θ 36.39, I 100, (5 1 -1)
2θ 38.12, I 63, (0 2 0)


(2)
# YSc2Ni
Computed PXRD pattern, Cu Kα X-rays. Input: a DFT-relaxed cell (PBE, Alexandria).
Neutral-atom scattering factors, no anomalous dispersion.

Cell and atoms:
Cell lengths 4.3484, 4.3484, 17.2411 Å; angles 90.00, 90.00, 120.00 degrees
Space group R3m (No. 160, hexagonal axes)
Asymmetric unit:
Y  0.0000  0.0000  0.0000
Sc  0.0000  0.0000  0.2127
Sc  0.0000  0.0000  0.4504
Ni  0.0000  0.0000  0.8226

Main lines, low angle first (2θ from 10° to 90°):
2θ 24.19, I 47, (1 0 1)
2θ 25.82, I 29, (0 1 2)
2θ 31.55, I 42, (1 0 4)
2θ 35.29, I 100, (0 1 5)
2θ 41.53, I 86, (1 1 0)
2θ 55.61, I 25, (2 0 5)


(3)
# ScZn7Ni5
Computed PXRD pattern, Cu Kα X-rays. Input: a DFT-relaxed cell (PBE, Alexandria).
Neutral-atom scattering factors, no anomalous dispersion.

Cell and atoms:
Cell lengths 5.003, 8.444, 8.411 Å; angles 90.00, 90.00, 90.00 degrees
Space group Imm2 (No. 44)
Asymmetric unit:
Sc  0.000  0.000  0.000
Zn  0.000  0.000  0.354
Zn  0.000  0.000  0.678
Zn  0.000  0.293  0.536
Zn  0.000  0.341  0.047
Zn  0.000  0.500  0.763
Ni  0.000  0.500  0.315
Ni  0.247  0.247  0.791

Main lines, low angle first (2θ from 10° to 90°):
2θ 42.01, I 65, (2 2 0)
2θ 42.69, I 85, (1 3 2)
2θ 42.84, I 30, (0 4 0)
2θ 43.01, I 35, (0 0 4)
2θ 47.46, I 100, (2 2 2)
2θ 48.20, I 46, (0 4 2)


(4)
# Sc2Zn2Ni3
Computed PXRD pattern, Cu Kα X-rays. Input: a DFT-relaxed cell (PBE, Alexandria).
Neutral-atom scattering factors, no anomalous dispersion.

Cell and atoms:
Cell lengths 7.568, 4.373, 6.901 Å; angles 90.00, 111.37, 90.00 degrees
Space group C2/m (No. 12)
Asymmetric unit:
Sc  0.109  0.000  0.326
Zn  0.131  0.500  0.893
Ni  0.000  0.500  0.500
Ni  0.245  0.000  0.732

Main lines, low angle first (2θ from 10° to 90°):
2θ 23.95, I 18, (1 1 0)
2θ 40.50, I 28, (2 0 -3)
2θ 41.31, I 100, (0 2 0)
2θ 44.57, I 65, (2 0 2)
2θ 62.38, I 22, (2 2 2)
2θ 77.60, I 22, (5 1 1)


(5)
# Sc3Zn20Ni6
Computed PXRD pattern, Cu Kα X-rays. Input: a DFT-relaxed cell (PBE, Alexandria).
Neutral-atom scattering factors, no anomalous dispersion.

Cell and atoms:
Cell lengths 12.189, 12.189, 12.189 Å; angles 90.00, 90.00, 90.00 degrees
Space group Fm-3m (No. 225)
Asymmetric unit:
Sc  0.000  0.000  0.000
Sc  0.250  0.250  0.250
Zn  0.000  0.175  0.175
Zn  0.114  0.114  0.386
Ni  0.000  0.000  0.262

Main lines, low angle first (2θ from 10° to 90°):
2θ 38.37, I 100, (3 3 3)
2θ 41.93, I 48, (4 4 0)
2θ 43.95, I 40, (5 3 1)
2θ 44.60, I 20, (6 0 0)
2θ 49.61, I 30, (6 2 2)
2θ 76.59, I 22, (8 4 4)


(6)
# Sc12ZnNi5
Computed PXRD pattern, Cu Kα X-rays. Input: a DFT-relaxed cell (PBE, Alexandria).
Neutral-atom scattering factors, no anomalous dispersion.

Cell and atoms:
Cell lengths 8.723, 8.759, 9.144 Å; angles 90.00, 90.00, 90.00 degrees
Space group Immm (No. 71)
Asymmetric unit:
Sc  0.000  0.204  0.175
Sc  0.181  0.223  0.500
Sc  0.193  0.500  0.267
Zn  0.000  0.500  0.000
Ni  0.000  0.000  0.373
Ni  0.000  0.500  0.500
Ni  0.148  0.000  0.000

Main lines, low angle first (2θ from 10° to 90°):
2θ 20.30, I 47, (0 2 0)
2θ 35.05, I 94, (2 2 2)
2θ 37.40, I 78, (1 2 3)
2θ 38.09, I 94, (3 1 2)
2θ 38.43, I 100, (3 2 1)
2θ 41.22, I 50, (0 4 0)


(7)
# ScZnNi3
Computed PXRD pattern, Cu Kα X-rays. Input: a DFT-relaxed cell (PBE, Alexandria).
Neutral-atom scattering factors, no anomalous dispersion.

Cell and atoms:
Cell lengths 4.887, 6.735, 8.458 Å; angles 90.00, 90.00, 90.00 degrees
Space group Imma (No. 74)
Asymmetric unit:
Sc  0.000  0.250  0.001
Zn  0.000  0.000  0.500
Ni  0.000  0.250  0.702
Ni  0.250  0.058  0.250

Main lines, low angle first (2θ from 10° to 90°):
2θ 21.00, I 39, (0 0 2)
2θ 34.02, I 50, (1 2 1)
2θ 41.62, I 47, (0 3 1)
2θ 42.75, I 100, (0 0 4)
2θ 45.90, I 80, (1 2 3)
2θ 50.98, I 59, (2 2 2)


(8)
# ScZn2Ni
Computed PXRD pattern, Cu Kα X-rays. Input: a DFT-relaxed cell (PBE, Alexandria).
Neutral-atom scattering factors, no anomalous dispersion.

Cell and atoms:
Cell lengths 6.166, 6.221, 6.255 Å; angles 90.00, 90.00, 90.00 degrees
Space group F222 (No. 22)
Asymmetric unit:
Sc  0.000  0.000  0.000
Zn  0.000  0.000  0.500
Zn  0.250  0.250  0.250
Ni  0.250  0.250  0.750

Main lines, low angle first (2θ from 10° to 90°):
2θ 40.92, I 100, (0 2 2)
2θ 41.11, I 99, (2 0 2)
2θ 41.23, I 98, (2 2 0)
2θ 74.57, I 30, (2 2 4)
2θ 74.81, I 30, (2 4 2)
2θ 75.20, I 29, (4 2 2)